Calculated X-ray powder pattern of Li2ZnCl4 for CuKα, from the PBE geometry in the Materials Project.
No peak broadening, texture or thermal motion is included.

Top 10 peaks for 10° ≤ 2θ ≤ 90°, in order of rising 2θ:
Position (°2θ), intensity
14.7, 46
24.1, 71
28.4, 54
29.7, 100
34.4, 18
37.6, 24
42.5, 31
45.2, 25
49.4, 88
58.7, 32

```
data_Li2ZnCl4
_chemical_formula_sum 'Li4 Zn2 Cl8'
_symmetry_space_group_name_H-M 'P 1'
_symmetry_Int_Tables_number 1
_cell_length_a 7.3747
_cell_length_b 7.3747
_cell_length_c 7.3747
_cell_angle_alpha 60.00
_cell_angle_beta 60.00
_cell_angle_gamma 60.00
loop_
_symmetry_equiv_pos_as_xyz
'x,y,z'
loop_
_atom_site_label
_atom_site_fract_x
_atom_site_fract_y
_atom_site_fract_z
_atom_site_occupancy
Li1 0.0000 0.0000 0.0000 1
Li2 0.0000 0.0000 0.5000 1
Li3 0.0000 0.5000 0.0000 1
Li4 0.5000 0.0000 0.0000 1
Zn1 0.3750 0.3750 0.3750 1
Zn2 0.6250 0.6250 0.6250 1
Cl1 0.2404 0.7532 0.7532 1
Cl2 0.2468 0.2468 0.2468 1
Cl3 0.2468 0.2468 0.7596 1
Cl4 0.2468 0.7596 0.2468 1
Cl5 0.7532 0.2404 0.7532 1
Cl6 0.7532 0.7532 0.2404 1
Cl7 0.7532 0.7532 0.7532 1
Cl8 0.7596 0.2468 0.2468 1
```

Calculated X-ray powder pattern of NaNpSeO6 for CuKα, from the PBE geometry in the Materials Project.
No peak broadening, texture or thermal motion is included.

Top 10 peaks for 10° ≤ 2θ ≤ 90°, in order of rising 2θ:
Position (°2θ), intensity
12.6, 100
13.9, 12
17.8, 15
22.1, 15
24.5, 29
25.3, 19
27.6, 28
29.1, 23
30.1, 32
46.7, 13

```
data_NaNpSeO6
_chemical_formula_sum 'Na2 Np2 Se2 O12'
_symmetry_space_group_name_H-M 'P 1'
_symmetry_Int_Tables_number 1
_cell_length_a 8.4170
_cell_length_b 8.4170
_cell_length_c 6.8422
_cell_angle_alpha 109.61
_cell_angle_beta 109.61
_cell_angle_gamma 51.19
loop_
_symmetry_equiv_pos_as_xyz
'x,y,z'
loop_
_atom_site_label
_atom_site_fract_x
_atom_site_fract_y
_atom_site_fract_z
_atom_site_occupancy
Na1 0.0370 0.0370 0.2913 1
Na2 0.9630 0.9630 0.7087 1
Np1 0.2372 0.2372 0.1314 1
Np2 0.7628 0.7628 0.8686 1
Se1 0.2967 0.2967 0.7001 1
Se2 0.7033 0.7033 0.2999 1
O1 0.0853 0.4315 0.8246 1
O2 0.1076 0.1076 0.0088 1
O3 0.2066 0.7934 0.5000 1
O4 0.2106 0.2106 0.4497 1
O5 0.3634 0.3634 0.2652 1
O6 0.4315 0.0853 0.8246 1
O7 0.5685 0.9147 0.1754 1
O8 0.6366 0.6366 0.7348 1
O9 0.7894 0.7894 0.5503 1
O10 0.7934 0.2066 0.5000 1
O11 0.8924 0.8924 0.9912 1
O12 0.9147 0.5685 0.1754 1
```

Calculated X-ray powder pattern of Sc2S3 for CuKα, from the PBE geometry in the Materials Project.
No peak broadening, texture or thermal motion is included.

Top 10 peaks for 10° ≤ 2θ ≤ 90°, in order of rising 2θ:
Position (°2θ), intensity
15.2, 45
24.9, 11
34.2, 100
34.3, 50
49.0, 16
49.3, 79
61.2, 16
61.5, 15
82.3, 13
82.6, 19

```
data_Sc2S3
_chemical_formula_sum 'Sc8 S12'
_symmetry_space_group_name_H-M 'P 1'
_symmetry_Int_Tables_number 1
_cell_length_a 12.2484
_cell_length_b 11.6870
_cell_length_c 6.4112
_cell_angle_alpha 79.36
_cell_angle_beta 69.68
_cell_angle_gamma 30.96
loop_
_symmetry_equiv_pos_as_xyz
'x,y,z'
loop_
_atom_site_label
_atom_site_fract_x
_atom_site_fract_y
_atom_site_fract_z
_atom_site_occupancy
Sc1 0.0415 0.0415 0.2085 1
Sc2 0.1273 0.1273 0.6227 1
Sc3 0.2085 0.2085 0.0415 1
Sc4 0.3773 0.3773 0.8727 1
Sc5 0.6227 0.6227 0.1273 1
Sc6 0.7915 0.7915 0.9585 1
Sc7 0.8727 0.8727 0.3773 1
Sc8 0.9585 0.9585 0.7915 1
S1 0.0480 0.5407 0.1926 1
S2 0.1156 0.6344 0.6344 1
S3 0.1926 0.7186 0.0480 1
S4 0.2814 0.8074 0.4593 1
S5 0.3656 0.8844 0.8844 1
S6 0.4593 0.9520 0.2814 1
S7 0.5407 0.0480 0.7186 1
S8 0.6344 0.1156 0.1156 1
S9 0.7186 0.1926 0.5407 1
S10 0.8074 0.2814 0.9520 1
S11 0.8844 0.3656 0.3656 1
S12 0.9520 0.4593 0.8074 1
```

Calculated X-ray powder pattern of U2MnFeSe6 for CuKα, from the PBE geometry in the Materials Project.
No peak broadening, texture or thermal motion is included.

Top 10 peaks for 10° ≤ 2θ ≤ 90°, in order of rising 2θ:
Position (°2θ), intensity
14.8, 39
24.1, 27
24.2, 26
25.9, 38
33.6, 100
37.6, 35
37.8, 57
38.5, 27
45.5, 22
46.7, 26

```
data_U2MnFeSe6
_chemical_formula_sum 'U2 Mn1 Fe1 Se6'
_symmetry_space_group_name_H-M 'P 1'
_symmetry_Int_Tables_number 1
_cell_length_a 6.2936
_cell_length_b 6.2936
_cell_length_c 9.3433
_cell_angle_alpha 90.18
_cell_angle_beta 90.18
_cell_angle_gamma 36.02
loop_
_symmetry_equiv_pos_as_xyz
'x,y,z'
loop_
_atom_site_label
_atom_site_fract_x
_atom_site_fract_y
_atom_site_fract_z
_atom_site_occupancy
U1 0.2372 0.2372 0.2440 1
U2 0.7628 0.7628 0.7560 1
Mn1 0.0000 0.0000 0.5000 1
Fe1 0.0000 0.0000 0.0000 1
Se1 0.0833 0.0833 0.7527 1
Se2 0.3558 0.3558 0.5536 1
Se3 0.3634 0.3634 0.9494 1
Se4 0.6366 0.6366 0.0506 1
Se5 0.6442 0.6442 0.4464 1
Se6 0.9167 0.9167 0.2473 1
```

Calculated X-ray powder pattern of KMo12S14 for CuKα, from the PBE geometry in the Materials Project.
No peak broadening, texture or thermal motion is included.

Top 10 peaks for 10° ≤ 2θ ≤ 90°, in order of rising 2θ:
Position (°2θ), intensity
11.0, 100
12.3, 92
29.9, 16
33.7, 24
36.8, 9
38.8, 9
39.9, 19
43.8, 17
44.8, 41
52.3, 10

```
data_KMo12S14
_chemical_formula_sum 'K2 Mo24 S28'
_symmetry_space_group_name_H-M 'P 1'
_symmetry_Int_Tables_number 1
_cell_length_a 9.2796
_cell_length_b 9.2796
_cell_length_c 16.4824
_cell_angle_alpha 90.00
_cell_angle_beta 90.00
_cell_angle_gamma 120.00
loop_
_symmetry_equiv_pos_as_xyz
'x,y,z'
loop_
_atom_site_label
_atom_site_fract_x
_atom_site_fract_y
_atom_site_fract_z
_atom_site_occupancy
K1 0.3333 0.6667 0.2500 1
K2 0.6667 0.3333 0.7500 1
Mo1 0.1582 0.5047 0.5419 1
Mo2 0.1582 0.6535 0.9581 1
Mo3 0.1656 0.4968 0.8161 1
Mo4 0.1656 0.6688 0.6839 1
Mo5 0.3312 0.4968 0.6839 1
Mo6 0.3312 0.8344 0.8161 1
Mo7 0.3465 0.5047 0.9581 1
Mo8 0.3465 0.8418 0.5419 1
Mo9 0.4953 0.6535 0.5419 1
Mo10 0.4953 0.8418 0.9581 1
Mo11 0.4968 0.1656 0.3161 1
Mo12 0.4968 0.3312 0.1839 1
Mo13 0.5032 0.6688 0.8161 1
Mo14 0.5032 0.8344 0.6839 1
Mo15 0.5047 0.1582 0.0419 1
Mo16 0.5047 0.3465 0.4581 1
Mo17 0.6535 0.1582 0.4581 1
Mo18 0.6535 0.4953 0.0419 1
Mo19 0.6688 0.1656 0.1839 1
Mo20 0.6688 0.5032 0.3161 1
Mo21 0.8344 0.3312 0.3161 1
Mo22 0.8344 0.5032 0.1839 1
Mo23 0.8418 0.3465 0.0419 1
Mo24 0.8418 0.4953 0.4581 1
S1 0.0229 0.3622 0.6813 1
S2 0.0229 0.6607 0.8187 1
S3 0.0424 0.3518 0.9426 1
S4 0.0424 0.6906 0.5574 1
S5 0.3094 0.3518 0.5574 1
S6 0.3094 0.9576 0.9426 1
S7 0.3333 0.6667 0.0681 1
S8 0.3333 0.6667 0.4319 1
S9 0.3393 0.3622 0.8187 1
S10 0.3393 0.9771 0.6813 1
S11 0.3518 0.0424 0.4426 1
S12 0.3518 0.3094 0.0574 1
S13 0.3622 0.0229 0.1813 1
S14 0.3622 0.3393 0.3187 1
S15 0.6378 0.6607 0.6813 1
S16 0.6378 0.9771 0.8187 1
S17 0.6482 0.6906 0.9426 1
S18 0.6482 0.9576 0.5574 1
S19 0.6607 0.0229 0.3187 1
S20 0.6607 0.6378 0.1813 1
S21 0.6667 0.3333 0.5681 1
S22 0.6667 0.3333 0.9319 1
S23 0.6906 0.0424 0.0574 1
S24 0.6906 0.6482 0.4426 1
S25 0.9576 0.3094 0.4426 1
S26 0.9576 0.6482 0.0574 1
S27 0.9771 0.3393 0.1813 1
S28 0.9771 0.6378 0.3187 1
```

Calculated X-ray powder pattern of K2In3CuSe6 for CuKα, from the PBE geometry in the Materials Project.
No peak broadening, texture or thermal motion is included.

Top 10 peaks for 10° ≤ 2θ ≤ 90°, in order of rising 2θ:
Position (°2θ), intensity
23.9, 80
28.6, 100
42.7, 71
43.9, 43
49.3, 11
50.6, 19
53.2, 32
53.8, 15
63.8, 13
79.8, 10

```
data_K2In3CuSe6
_chemical_formula_sum 'K8 In12 Cu4 Se24'
_symmetry_space_group_name_H-M 'P 1'
_symmetry_Int_Tables_number 1
_cell_length_a 8.2499
_cell_length_b 8.2499
_cell_length_c 21.7228
_cell_angle_alpha 95.40
_cell_angle_beta 95.40
_cell_angle_gamma 90.02
loop_
_symmetry_equiv_pos_as_xyz
'x,y,z'
loop_
_atom_site_label
_atom_site_fract_x
_atom_site_fract_y
_atom_site_fract_z
_atom_site_occupancy
K1 0.1052 0.7375 0.9168 1
K2 0.2625 0.8948 0.5832 1
K3 0.2800 0.3961 0.5831 1
K4 0.3961 0.2800 0.0831 1
K5 0.6039 0.7200 0.9169 1
K6 0.7200 0.6039 0.4169 1
K7 0.7375 0.1052 0.4168 1
K8 0.8948 0.2625 0.0832 1
In1 0.0611 0.9389 0.7500 1
In2 0.1538 0.7783 0.1152 1
In3 0.2208 0.3460 0.3850 1
In4 0.2217 0.8462 0.3848 1
In5 0.3460 0.2208 0.8850 1
In6 0.4365 0.5635 0.2500 1
In7 0.5635 0.4365 0.7500 1
In8 0.6540 0.7792 0.1150 1
In9 0.7783 0.1538 0.6152 1
In10 0.7792 0.6540 0.6150 1
In11 0.8462 0.2217 0.8848 1
In12 0.9389 0.0611 0.2500 1
Cu1 0.0618 0.4368 0.7500 1
Cu2 0.4368 0.0618 0.2500 1
Cu3 0.5632 0.9382 0.7500 1
Cu4 0.9382 0.5632 0.2500 1
Se1 0.0635 0.1837 0.6806 1
Se2 0.0637 0.6578 0.6803 1
Se3 0.1145 0.2464 0.9600 1
Se4 0.1570 0.5261 0.1807 1
Se5 0.1837 0.0635 0.1806 1
Se6 0.2340 0.6150 0.4598 1
Se7 0.2464 0.1145 0.4600 1
Se8 0.3173 0.4730 0.8197 1
Se9 0.3422 0.9363 0.8197 1
Se10 0.3850 0.7660 0.0402 1
Se11 0.4730 0.3173 0.3197 1
Se12 0.4739 0.8430 0.3193 1
Se13 0.5261 0.1569 0.6807 1
Se14 0.5270 0.6827 0.6803 1
Se15 0.6150 0.2340 0.9598 1
Se16 0.6578 0.0637 0.1803 1
Se17 0.6827 0.5270 0.1803 1
Se18 0.7536 0.8855 0.5400 1
Se19 0.7660 0.3850 0.5402 1
Se20 0.8163 0.9365 0.8194 1
Se21 0.8430 0.4739 0.8193 1
Se22 0.8855 0.7536 0.0400 1
Se23 0.9363 0.3422 0.3197 1
Se24 0.9365 0.8163 0.3194 1
```

Calculated X-ray powder pattern of ThMg16Al12 for CuKα, from the PBE geometry in the Materials Project.
No peak broadening, texture or thermal motion is included.

Top 10 peaks for 10° ≤ 2θ ≤ 90°, in order of rising 2θ:
Position (°2θ), intensity
11.7, 100
11.9, 72
16.7, 42
20.4, 50
26.4, 30
26.8, 28
35.5, 52
35.9, 87
36.4, 93
39.4, 47

```
data_ThMg16Al12
_chemical_formula_sum 'Th1 Mg16 Al12'
_symmetry_space_group_name_H-M 'P 1'
_symmetry_Int_Tables_number 1
_cell_length_a 9.2653
_cell_length_b 9.2653
_cell_length_c 9.2653
_cell_angle_alpha 110.13
_cell_angle_beta 110.13
_cell_angle_gamma 110.13
loop_
_symmetry_equiv_pos_as_xyz
'x,y,z'
loop_
_atom_site_label
_atom_site_fract_x
_atom_site_fract_y
_atom_site_fract_z
_atom_site_occupancy
Th1 0.0000 0.0000 0.0000 1
Mg1 0.0205 0.3165 0.6290 1
Mg2 0.0205 0.6290 0.3165 1
Mg3 0.2414 0.2414 0.9060 1
Mg4 0.2414 0.9060 0.2414 1
Mg5 0.2807 0.6233 0.6233 1
Mg6 0.3165 0.0205 0.6290 1
Mg7 0.3165 0.6290 0.0205 1
Mg8 0.3458 0.9437 0.9437 1
Mg9 0.6219 0.6219 0.6219 1
Mg10 0.6233 0.2807 0.6233 1
Mg11 0.6233 0.6233 0.2807 1
Mg12 0.6290 0.0205 0.3165 1
Mg13 0.6290 0.3165 0.0205 1
Mg14 0.9060 0.2414 0.2414 1
Mg15 0.9437 0.3458 0.9437 1
Mg16 0.9437 0.9437 0.3458 1
Al1 0.2556 0.2556 0.4386 1
Al2 0.2556 0.4386 0.2556 1
Al3 0.4381 0.4381 0.7996 1
Al4 0.4381 0.7996 0.4381 1
Al5 0.4386 0.2556 0.2556 1
Al6 0.6272 0.8131 0.9921 1
Al7 0.6272 0.9921 0.8131 1
Al8 0.7996 0.4381 0.4381 1
Al9 0.8131 0.6272 0.9921 1
Al10 0.8131 0.9921 0.6272 1
Al11 0.9921 0.6272 0.8131 1
Al12 0.9921 0.8131 0.6272 1
```